Theoretical powder diffractogram of K4PaPb3O12 for λ = 1.5418 Å (Cu Kα), from a DFT-relaxed cell (PBE, Alexandria).
Neutral-atom scattering factors, no anomalous dispersion.

Cell and atoms:
Lattice parameters (Å, degrees): 7.531 7.531 7.531 109.47 109.47 109.47
Sites, in units of the cell vectors:
1 K 0.000 0.000 0.500
2 K 0.000 0.500 0.000
3 K 0.500 0.000 0.000
4 K 0.500 0.500 0.500
5 Pa 0.000 0.000 0.000
6 Pb 0.000 0.500 0.500
7 Pb 0.500 0.000 0.500
8 Pb 0.500 0.500 0.000
9 O 0.000 0.247 0.247
10 O 0.000 0.753 0.753
11 O 0.247 0.000 0.247
12 O 0.247 0.247 0.000
13 O 0.250 0.500 0.750
14 O 0.250 0.750 0.500
15 O 0.500 0.250 0.750
16 O 0.500 0.750 0.250
17 O 0.750 0.250 0.500
18 O 0.750 0.500 0.250
19 O 0.753 0.000 0.753
20 O 0.753 0.753 0.000

Top 10 peaks for 2θ = 10–90°, by angle:
| two_theta | intensity |
| --- | --- |
| 20.43 | 73 |
| 29.04 | 100 |
| 35.77 | 10 |
| 41.54 | 31 |
| 46.72 | 36 |
| 51.48 | 42 |
| 60.20 | 20 |
| 64.27 | 18 |
| 68.21 | 18 |
| 83.12 | 22 |


Theoretical powder diffractogram of KPa4Pd3O12 for λ = 1.5418 Å (Cu Kα), from a DFT-relaxed cell (PBE, Alexandria).
Neutral-atom scattering factors, no anomalous dispersion.

Cell and atoms:
Lattice parameters (Å, degrees): 7.234 7.234 7.234 109.47 109.47 109.47
Sites, in units of the cell vectors:
1 K 0.000 0.000 0.000
2 Pa 0.000 0.000 0.500
3 Pa 0.000 0.500 0.000
4 Pa 0.500 0.000 0.000
5 Pa 0.500 0.500 0.500
6 Pd 0.000 0.500 0.500
7 Pd 0.500 0.000 0.500
8 Pd 0.500 0.500 0.000
9 O 0.119 0.297 0.822
10 O 0.178 0.475 0.297
11 O 0.178 0.881 0.703
12 O 0.297 0.178 0.475
13 O 0.297 0.822 0.119
14 O 0.475 0.297 0.178
15 O 0.525 0.703 0.822
16 O 0.703 0.178 0.881
17 O 0.703 0.822 0.525
18 O 0.822 0.119 0.297
19 O 0.822 0.525 0.703
20 O 0.881 0.703 0.178

Top 10 peaks for 2θ = 10–90°, by angle:
| two_theta | intensity |
| --- | --- |
| 21.27 | 25 |
| 30.27 | 100 |
| 37.29 | 5 |
| 43.33 | 23 |
| 48.76 | 13 |
| 53.76 | 47 |
| 62.95 | 14 |
| 67.25 | 5 |
| 71.43 | 19 |
| 87.37 | 23 |


Theoretical powder diffractogram of K2PaPdO4 for λ = 1.5418 Å (Cu Kα), from a DFT-relaxed cell (PBE, Alexandria).
Neutral-atom scattering factors, no anomalous dispersion.

Cell and atoms:
Lattice parameters (Å, degrees): 6.434 6.434 7.282 90.00 90.00 90.00
Sites, in units of the cell vectors:
1 K 0.000 0.000 0.000
2 K 0.000 0.500 0.250
3 K 0.500 0.000 0.750
4 K 0.500 0.500 0.500
5 Pa 0.000 0.500 0.750
6 Pa 0.500 0.000 0.250
7 Pd 0.000 0.000 0.500
8 Pd 0.500 0.500 0.000
9 O 0.153 0.302 0.568
10 O 0.198 0.653 0.932
11 O 0.302 0.847 0.432
12 O 0.347 0.198 0.068
13 O 0.653 0.802 0.068
14 O 0.698 0.153 0.432
15 O 0.802 0.347 0.932
16 O 0.847 0.698 0.568

Top 10 peaks for 2θ = 10–90°, by angle:
| two_theta | intensity |
| --- | --- |
| 18.40 | 95 |
| 27.73 | 59 |
| 31.47 | 100 |
| 33.49 | 37 |
| 39.64 | 39 |
| 49.11 | 16 |
| 51.45 | 55 |
| 58.23 | 18 |
| 64.82 | 19 |
| 65.71 | 16 |


Theoretical powder diffractogram of K3PaPt2O8 for λ = 1.5418 Å (Cu Kα), from a DFT-relaxed cell (PBE, Alexandria).
Neutral-atom scattering factors, no anomalous dispersion.

Cell and atoms:
Lattice parameters (Å, degrees): 5.760 5.760 8.342 90.00 90.00 120.00
Sites, in units of the cell vectors:
1 K 0.000 0.000 0.000
2 K 0.333 0.667 0.652
3 K 0.667 0.333 0.348
4 Pa 0.000 0.000 0.500
5 Pt 0.333 0.667 0.198
6 Pt 0.667 0.333 0.802
7 O 0.177 0.353 0.354
8 O 0.177 0.823 0.354
9 O 0.333 0.667 0.981
10 O 0.353 0.177 0.646
11 O 0.647 0.823 0.354
12 O 0.667 0.333 0.019
13 O 0.823 0.177 0.646
14 O 0.823 0.647 0.646

Top 10 peaks for 2θ = 10–90°, by angle:
| two_theta | intensity |
| --- | --- |
| 20.75 | 100 |
| 27.88 | 80 |
| 31.05 | 73 |
| 37.64 | 13 |
| 42.22 | 35 |
| 45.34 | 18 |
| 47.24 | 15 |
| 49.57 | 21 |
| 53.33 | 27 |
| 55.25 | 14 |


Theoretical powder diffractogram of KPaPt2O6 for λ = 1.5418 Å (Cu Kα), from a DFT-relaxed cell (PBE, Alexandria).
Neutral-atom scattering factors, no anomalous dispersion.

Cell and atoms:
Lattice parameters (Å, degrees): 6.908 6.908 6.908 51.69 51.69 51.69
Sites, in units of the cell vectors:
1 K 0.000 0.000 0.000
2 Pa 0.500 0.500 0.500
3 Pt 0.237 0.237 0.237
4 Pt 0.763 0.763 0.763
5 O 0.109 0.694 0.485
6 O 0.306 0.515 0.891
7 O 0.485 0.109 0.694
8 O 0.515 0.891 0.306
9 O 0.694 0.485 0.109
10 O 0.891 0.306 0.515

Top 10 peaks for 2θ = 10–90°, by angle:
| two_theta | intensity |
| --- | --- |
| 14.84 | 27 |
| 17.71 | 18 |
| 26.23 | 100 |
| 29.67 | 65 |
| 33.33 | 20 |
| 40.01 | 29 |
| 44.02 | 20 |
| 50.59 | 33 |
| 52.64 | 18 |
| 62.81 | 14 |


Theoretical powder diffractogram of KRbPaO4 for λ = 1.5418 Å (Cu Kα), from a DFT-relaxed cell (PBE, Alexandria).
Neutral-atom scattering factors, no anomalous dispersion.

Cell and atoms:
Lattice parameters (Å, degrees): 4.451 4.451 13.890 90.00 90.00 90.00
Sites, in units of the cell vectors:
1 K 0.000 0.000 0.000
2 K 0.500 0.500 0.500
3 Rb 0.000 0.000 0.696
4 Rb 0.500 0.500 0.196
5 Pa 0.000 0.000 0.351
6 Pa 0.500 0.500 0.851
7 O 0.000 0.000 0.205
8 O 0.000 0.000 0.496
9 O 0.000 0.500 0.353
10 O 0.000 0.500 0.853
11 O 0.500 0.000 0.353
12 O 0.500 0.000 0.853
13 O 0.500 0.500 0.705
14 O 0.500 0.500 0.996

Top 10 peaks for 2θ = 10–90°, by angle:
| two_theta | intensity |
| --- | --- |
| 12.75 | 66 |
| 20.96 | 61 |
| 27.80 | 100 |
| 28.35 | 59 |
| 38.19 | 20 |
| 40.53 | 32 |
| 46.06 | 16 |
| 48.83 | 23 |
| 49.86 | 41 |
| 57.43 | 19 |